The following is a theoretical powder X-ray diffraction pattern of Mg14CoNiO16. It was derived from a DFT-relaxed cell (GGA+U, Alexandria), using Cu Kα, 1.54184 Å.

abc: 4.2512 8.5026 8.5689
angles: 90.00 90.00 90.00
Space group Pmmm (No. 47)
One atom of each set of equivalent atoms:
Mg  0.0000  0.0000  0.0000 (multiplicity 1)
Mg  0.0000  0.2505  0.2496 (multiplicity 4)
Mg  0.0000  0.5000  0.0000 (multiplicity 1)
Mg  0.5000  0.0000  0.2479 (multiplicity 2)
Mg  0.5000  0.2504  0.0000 (multiplicity 2)
Mg  0.5000  0.2507  0.5000 (multiplicity 2)
Mg  0.5000  0.5000  0.2513 (multiplicity 2)
Co  0.0000  0.0000  0.5000 (multiplicity 1)
Ni  0.0000  0.5000  0.5000 (multiplicity 1)
O  0.0000  0.0000  0.2412 (multiplicity 2)
O  0.0000  0.2513  0.5000 (multiplicity 2)
O  0.0000  0.2519  0.0000 (multiplicity 2)
O  0.0000  0.5000  0.2496 (multiplicity 2)
O  0.5000  0.0000  0.0000 (multiplicity 1)
O  0.5000  0.0000  0.5000 (multiplicity 1)
O  0.5000  0.2499  0.2508 (multiplicity 4)
O  0.5000  0.5000  0.0000 (multiplicity 1)
O  0.5000  0.5000  0.5000 (multiplicity 1)

Peak list (10 most intense, 10° ≤ 2θ ≤ 80°, sorted by position)
- 2θ = 10.3°, I 15.2, hkl 0 0 1
- 2θ = 20.9°, I 6.9, hkl 1 0 0
- 2θ = 23.4°, I 10.0, hkl 1 0 1
- 2θ = 36.5°, I 28.6, hkl 1 2 2
- 2θ = 42.2°, I 51.2, hkl 0 0 4
- 2θ = 42.5°, I 100.0, hkl 2 0 0
- 2θ = 61.5°, I 57.2, hkl 2 0 4
- 2θ = 61.7°, I 28.2, hkl 2 4 0
- 2θ = 73.9°, I 10.5, hkl 3 2 2
- 2θ = 77.6°, I 25.8, hkl 2 4 4